Record 1
Tb4TmNi4: theoretical powder XRD pattern (a wavelength of 1.5418 Å), based on a cell relaxed with PBE.

Top 10 peaks for 2θ from 10° to 90°, low angle first:
two_theta	intensity
28.4	54
33.4	100
39.8	18
45.4	11
46.7	8
48.0	22
50.5	18
55.3	12
56.7	17
80.1	8

Crystal structure
Unit cell a=8.469 b=8.469 c=5.654 alpha=90.00 beta=90.00 gamma=90.00
Sites, in units of the cell vectors:
Tb 0.061 0.667 0.148
Tb 0.167 0.939 0.648
Tb 0.333 0.561 0.648
Tb 0.439 0.833 0.148
Tb 0.561 0.167 0.852
Tb 0.667 0.439 0.352
Tb 0.833 0.061 0.352
Tb 0.939 0.333 0.852
Tm 0.250 0.250 0.250
Tm 0.750 0.750 0.750
Ni 0.021 0.619 0.633
Ni 0.119 0.979 0.133
Ni 0.381 0.521 0.133
Ni 0.479 0.881 0.633
Ni 0.521 0.119 0.367
Ni 0.619 0.479 0.867
Ni 0.881 0.021 0.867
Ni 0.979 0.381 0.367

---

Record 2
Ac2RhPbO6: theoretical powder XRD pattern (a wavelength of 1.5418 Å), based on a cell relaxed with PBE.

Top 10 peaks for 2θ from 10° to 90°, low angle first:
two_theta	intensity
27.7	100
29.5	100
31.1	40
33.1	31
35.0	28
46.1	31
47.5	32
53.3	18
54.4	18
54.9	17

Crystal structure
Unit cell a=6.473 b=6.473 c=5.151 alpha=108.97 beta=108.97 gamma=52.71
Sites, in units of the cell vectors:
Ac 0.233 0.233 0.211
Ac 0.767 0.767 0.789
Rh 0.000 0.000 0.500
Pb 0.500 0.500 0.000
O 0.152 0.675 0.209
O 0.304 0.304 0.719
O 0.325 0.848 0.791
O 0.675 0.152 0.209
O 0.696 0.696 0.281
O 0.848 0.325 0.791

---

Record 3
Tl3H4I: theoretical powder XRD pattern (a wavelength of 1.5418 Å), based on a cell relaxed with PBE.

Top 10 peaks for 2θ from 10° to 90°, low angle first:
two_theta	intensity
22.1	17
26.1	60
28.1	100
28.3	99
30.7	44
39.9	15
40.7	34
47.2	21
47.4	15
53.0	33

Crystal structure
Unit cell a=4.494 b=4.517 c=8.982 alpha=89.74 beta=80.89 gamma=89.75
Sites, in units of the cell vectors:
Tl 0.000 0.000 0.000
Tl 0.028 0.997 0.585
Tl 0.516 0.612 0.293
H 0.236 0.394 0.411
H 0.336 0.858 0.170
H 0.698 0.855 0.414
H 0.798 0.393 0.175
I 0.513 0.472 0.792

---

Record 4
SrYTl4: theoretical powder XRD pattern (a wavelength of 1.5418 Å), based on a cell relaxed with PBE.

Top 10 peaks for 2θ from 10° to 90°, low angle first:
two_theta	intensity
20.1	10
21.6	10
29.7	100
35.0	25
35.3	50
46.4	10
46.6	10
47.0	9
59.8	12
60.0	13

Crystal structure
Unit cell a=5.080 b=5.093 c=8.238 alpha=89.66 beta=89.80 gamma=60.46
Sites, in units of the cell vectors:
Sr 0.000 0.000 0.000
Y 0.000 0.000 0.500
Tl 0.332 0.333 0.216
Tl 0.333 0.334 0.658
Tl 0.667 0.666 0.342
Tl 0.668 0.667 0.784

---

Record 5
TbPm3Sm2Y6: theoretical powder XRD pattern (a wavelength of 1.5418 Å), based on a cell relaxed with PBE.

Top 10 peaks for 2θ from 10° to 90°, low angle first:
two_theta	intensity
30.4	100
30.6	33
35.3	67
50.7	24
50.9	23
60.2	14
60.3	28
60.6	14
63.2	12
82.5	11

Crystal structure
Unit cell a=6.242 b=6.242 c=11.867 alpha=95.01 beta=95.01 gamma=119.97
Sites, in units of the cell vectors:
Tb 0.000 0.000 0.000
Pm 0.167 0.833 0.500
Pm 0.500 0.500 0.500
Pm 0.833 0.167 0.500
Sm 0.333 0.667 0.000
Sm 0.667 0.333 0.000
Y 0.083 0.416 0.249
Y 0.250 0.250 0.751
Y 0.416 0.083 0.249
Y 0.584 0.917 0.751
Y 0.750 0.750 0.249
Y 0.917 0.584 0.751

---

Record 6
CaInCu5: theoretical powder XRD pattern (a wavelength of 1.5418 Å), based on a cell relaxed with PBE.

Top 10 peaks for 2θ from 10° to 90°, low angle first:
two_theta	intensity
22.1	26
35.2	19
35.7	14
37.9	83
40.8	19
42.4	39
44.3	100
45.2	49
64.9	13
69.7	15

Crystal structure
Unit cell a=8.330 b=5.104 c=10.546 alpha=90.00 beta=90.00 gamma=90.00
Sites, in units of the cell vectors:
Ca 0.245 0.250 0.062
Ca 0.255 0.750 0.562
Ca 0.745 0.250 0.438
Ca 0.755 0.750 0.938
In 0.138 0.750 0.862
In 0.362 0.250 0.362
In 0.638 0.750 0.638
In 0.862 0.250 0.138
Cu 0.056 0.750 0.107
Cu 0.067 0.001 0.314
Cu 0.067 0.499 0.314
Cu 0.086 0.250 0.517
Cu 0.185 0.250 0.744
Cu 0.315 0.750 0.244
Cu 0.414 0.750 0.017
Cu 0.433 0.501 0.814
Cu 0.433 0.999 0.814
Cu 0.444 0.250 0.607
Cu 0.556 0.750 0.393
Cu 0.567 0.001 0.186
Cu 0.567 0.499 0.186
Cu 0.586 0.250 0.983
Cu 0.685 0.250 0.756
Cu 0.815 0.750 0.256
Cu 0.914 0.750 0.483
Cu 0.933 0.501 0.686
Cu 0.933 0.999 0.686
Cu 0.944 0.250 0.893

---

Record 7
Mg2Sc6Al: theoretical powder XRD pattern (a wavelength of 1.5418 Å), based on a cell relaxed with PBE.

Top 10 peaks for 2θ from 10° to 90°, low angle first:
two_theta	intensity
35.3	98
35.8	100
51.2	31
63.2	13
64.0	30
64.3	16
74.8	7
75.8	9
85.8	11
86.6	12

Crystal structure
Unit cell a=5.017 b=5.017 c=9.388 alpha=90.00 beta=90.00 gamma=120.00
Sites, in units of the cell vectors:
Mg 0.333 0.667 0.067
Mg 0.667 0.333 0.933
Sc 0.000 0.000 0.187
Sc 0.000 0.000 0.813
Sc 0.333 0.667 0.403
Sc 0.333 0.667 0.738
Sc 0.667 0.333 0.262
Sc 0.667 0.333 0.597
Al 0.000 0.000 0.500

---

Record 8
Ba3Gd: theoretical powder XRD pattern (a wavelength of 1.5418 Å), based on a cell relaxed with PBE.

Top 10 peaks for 2θ from 10° to 90°, low angle first:
two_theta	intensity
25.9	100
29.9	35
30.2	17
42.7	13
43.0	25
50.6	32
51.1	15
53.2	14
68.7	13
78.4	9

Crystal structure
Unit cell a=7.274 b=7.274 c=7.274 alpha=131.42 beta=131.42 gamma=71.15
Sites, in units of the cell vectors:
Ba 0.000 0.000 0.000
Ba 0.250 0.750 0.500
Ba 0.750 0.250 0.500
Gd 0.500 0.500 0.000

---

Record 9
Ti2ZnMo2: theoretical powder XRD pattern (a wavelength of 1.5418 Å), based on a cell relaxed with PBE.

Top 10 peaks for 2θ from 10° to 90°, low angle first:
two_theta	intensity
25.4	23
29.0	13
38.9	100
41.4	46
49.2	18
52.2	14
61.4	8
68.8	19
79.7	17
89.8	10

Crystal structure
Unit cell a=6.896 b=6.896 c=3.502 alpha=90.00 beta=90.00 gamma=90.00
Sites, in units of the cell vectors:
Ti 0.159 0.341 0.000
Ti 0.341 0.841 0.000
Ti 0.659 0.159 0.000
Ti 0.841 0.659 0.000
Zn 0.000 0.000 0.500
Zn 0.500 0.500 0.500
Mo 0.145 0.645 0.500
Mo 0.355 0.145 0.500
Mo 0.645 0.855 0.500
Mo 0.855 0.355 0.500

---

Record 10
Ba4HoHg5: theoretical powder XRD pattern (a wavelength of 1.5418 Å), based on a cell relaxed with PBE.

Top 10 peaks for 2θ from 10° to 90°, low angle first:
two_theta	intensity
30.7	100
31.3	57
44.8	21
50.6	7
54.4	12
55.3	39
66.8	8
73.8	8
74.1	10
84.0	7

Crystal structure
Unit cell a=4.048 b=4.048 c=20.899 alpha=90.00 beta=90.00 gamma=90.00
Sites, in units of the cell vectors:
Ba 0.000 0.000 0.104
Ba 0.000 0.000 0.314
Ba 0.000 0.000 0.686
Ba 0.000 0.000 0.896
Ho 0.000 0.000 0.500
Hg 0.500 0.500 0.000
Hg 0.500 0.500 0.208
Hg 0.500 0.500 0.423
Hg 0.500 0.500 0.577
Hg 0.500 0.500 0.792

---

Record 11
Pa2Zn2CoSi4: theoretical powder XRD pattern (a wavelength of 1.5418 Å), based on a cell relaxed with PBE.

Top 10 peaks for 2θ from 10° to 90°, low angle first:
two_theta	intensity
21.0	30
21.2	39
29.9	66
30.0	67
36.9	100
42.8	49
48.2	29
53.2	27
62.4	27
74.6	25

Crystal structure
Unit cell a=5.954 b=5.954 c=5.954 alpha=119.79 beta=119.79 gamma=90.37
Sites, in units of the cell vectors:
Pa 0.250 0.750 0.500
Pa 0.750 0.250 0.500
Zn 0.211 0.211 0.000
Zn 0.789 0.789 0.000
Co 0.500 0.500 0.000
Si 0.226 0.226 0.453
Si 0.226 0.774 0.000
Si 0.774 0.226 0.000
Si 0.774 0.774 0.547

---

Record 12
Ti4Tc3Os: theoretical powder XRD pattern (a wavelength of 1.5418 Å), based on a cell relaxed with PBE.

Top 10 peaks for 2θ from 10° to 90°, low angle first:
two_theta	intensity
10.1	7
20.2	3
22.7	2
28.8	25
41.2	100
51.0	7
59.6	16
67.5	10
75.0	32
89.4	10

Crystal structure
Unit cell a=3.101 b=4.384 c=8.774 alpha=90.00 beta=90.00 gamma=90.00
Sites, in units of the cell vectors:
Ti 0.000 0.000 0.000
Ti 0.000 0.000 0.500
Ti 0.000 0.500 0.250
Ti 0.000 0.500 0.750
Tc 0.500 0.000 0.249
Tc 0.500 0.000 0.751
Tc 0.500 0.500 0.500
Os 0.500 0.500 0.000

---

Record 13
Ni11Ge2Te4: theoretical powder XRD pattern (a wavelength of 1.5418 Å), based on a cell relaxed with PBE.

Top 10 peaks for 2θ from 10° to 90°, low angle first:
two_theta	intensity
27.7	44
33.6	11
35.3	11
39.0	20
44.6	100
48.8	43
57.1	12
71.5	13
79.1	13
88.4	26

Crystal structure
Unit cell a=3.731 b=3.731 c=19.096 alpha=90.00 beta=90.00 gamma=90.00
Sites, in units of the cell vectors:
Ni 0.000 0.000 0.000
Ni 0.000 0.000 0.307
Ni 0.000 0.500 0.087
Ni 0.000 0.500 0.409
Ni 0.000 0.500 0.584
Ni 0.000 0.500 0.913
Ni 0.500 0.000 0.087
Ni 0.500 0.000 0.409
Ni 0.500 0.000 0.584
Ni 0.500 0.000 0.913
Ni 0.500 0.500 0.497
Ge 0.000 0.000 0.496
Ge 0.500 0.500 0.000
Te 0.000 0.000 0.175
Te 0.000 0.000 0.825
Te 0.500 0.500 0.314
Te 0.500 0.500 0.672